# 1
Simulated powder diffraction line list of RbLi3Pu4O12 for Cu Kα, 1.54184 Å, from a cell relaxed with GGA-PBE.

Most intense lines, 10° ≤ 2θ ≤ 90°, by angle:
| d_spacing | Rel. int. |
| --- | --- |
| 4.065 | 935 |
| 2.874 | 1000 |
| 2.347 | 217 |
| 2.033 | 246 |
| 1.818 | 443 |
| 1.660 | 485 |
| 1.437 | 147 |
| 1.355 | 189 |
| 1.286 | 192 |
| 1.226 | 120 |

Structural model:
```
RbLi3Pu4O12
1.0
-4.0651 4.0651 4.0651
4.0651 -4.0651 4.0651
4.0651 4.0651 -4.0651
Rb Li Pu O
1 3 4 12
Direct
0.0000 0.0000 0.0000
0.0000 0.5000 0.5000
0.5000 0.0000 0.5000
0.5000 0.5000 0.0000
0.0000 0.0000 0.5000
0.0000 0.5000 0.0000
0.5000 0.0000 0.0000
0.5000 0.5000 0.5000
0.1193 0.3058 0.8136
0.1864 0.4922 0.3058
0.1864 0.8807 0.6942
0.3058 0.1864 0.4922
0.3058 0.8136 0.1193
0.4922 0.3058 0.1864
0.5078 0.6942 0.8136
0.6942 0.1864 0.8807
0.6942 0.8136 0.5078
0.8136 0.1193 0.3058
0.8136 0.5078 0.6942
0.8807 0.6942 0.1864
```

# 2
Simulated powder diffraction line list of Ba2SrHg for Cu Kα, 1.54184 Å, from a cell relaxed with GGA-PBE.

Most intense lines, 10° ≤ 2θ ≤ 90°, by angle:
| d_spacing | Rel. int. |
| --- | --- |
| 5.789 | 307 |
| 3.388 | 156 |
| 3.201 | 313 |
| 3.171 | 1000 |
| 3.127 | 207 |
| 2.496 | 148 |
| 2.237 | 166 |
| 1.843 | 273 |
| 1.794 | 119 |
| 1.532 | 122 |

Structural model:
```
Ba2SrHg
1.0
-2.1668 3.2010 6.7766
2.1668 -3.2010 6.7766
2.1668 3.2010 -6.7766
Ba Sr Hg
2 1 1
Direct
0.1989 0.1989 0.0000
0.8011 0.8011 0.0000
0.5000 0.0000 0.5000
0.0000 0.5000 0.5000
```

# 3
Simulated powder diffraction line list of HoZrRe for Cu Kα, 1.54184 Å, from a cell relaxed with GGA-PBE.

Most intense lines, 10° ≤ 2θ ≤ 90°, by angle:
| d_spacing | Rel. int. |
| --- | --- |
| 4.552 | 771 |
| 2.816 | 459 |
| 2.625 | 783 |
| 2.545 | 512 |
| 2.534 | 456 |
| 2.461 | 675 |
| 2.333 | 619 |
| 2.272 | 800 |
| 2.121 | 1000 |
| 1.607 | 309 |

Structural model:
```
HoZrRe
1.0
0.0000 5.0840 10.1342
2.6297 0.0000 10.1342
2.6297 5.0840 0.0000
Ho Zr Re
4 4 4
Direct
0.0331 0.7169 0.0331
0.2831 0.9669 0.2831
0.7169 0.0331 0.7169
0.9669 0.2831 0.9669
0.2872 0.2872 0.4628
0.4628 0.4628 0.2872
0.5372 0.5372 0.7128
0.7128 0.7128 0.5372
0.0005 0.0005 0.2495
0.2495 0.2495 0.0005
0.7505 0.7505 0.9995
0.9995 0.9995 0.7505
```

# 4
Simulated powder diffraction line list of K4RbNa6 for Cu Kα, 1.54184 Å, from a cell relaxed with GGA-PBE.

Most intense lines, 10° ≤ 2θ ≤ 90°, by angle:
| d_spacing | Rel. int. |
| --- | --- |
| 5.202 | 192 |
| 4.616 | 223 |
| 4.068 | 1000 |
| 3.723 | 409 |
| 3.489 | 535 |
| 3.149 | 393 |
| 3.052 | 795 |
| 2.338 | 342 |
| 2.014 | 232 |
| 1.697 | 258 |

Structural model:
```
K4RbNa6
1.0
10.6595 0.0000 0.0000
-5.3298 9.2314 0.0000
0.0000 0.0000 6.2976
K Rb Na
4 1 6
Direct
0.0000 0.0000 0.0000
0.4444 0.3981 0.5000
0.6019 0.0462 0.5000
0.9538 0.5556 0.5000
0.3333 0.6667 0.0000
0.0295 0.2313 0.5000
0.2018 0.9705 0.5000
0.4362 0.1512 0.0000
0.7150 0.5638 0.0000
0.7687 0.7982 0.5000
0.8488 0.2850 0.0000
```

# 5
Simulated powder diffraction line list of KTl4Pd for Cu Kα, 1.54184 Å, from a cell relaxed with GGA-PBE.

Most intense lines, 10° ≤ 2θ ≤ 90°, by angle:
| d_spacing | Rel. int. |
| --- | --- |
| 8.733 | 887 |
| 3.026 | 290 |
| 2.994 | 324 |
| 2.967 | 935 |
| 2.885 | 639 |
| 2.557 | 1000 |
| 2.486 | 364 |
| 2.437 | 737 |
| 2.098 | 461 |
| 1.613 | 289 |

Structural model:
```
KTl4Pd
1.0
9.5614 0.0000 0.0000
0.0000 4.1971 0.0000
0.0000 0.0000 8.7332
K Tl Pd
2 8 2
Direct
0.2500 0.0000 0.0896
0.7500 0.0000 0.9104
0.0000 0.0000 0.5000
0.0658 0.5000 0.8040
0.2500 0.5000 0.4228
0.4342 0.5000 0.8040
0.5000 0.0000 0.5000
0.5658 0.5000 0.1960
0.7500 0.5000 0.5772
0.9342 0.5000 0.1960
0.2500 0.0000 0.6779
0.7500 0.0000 0.3221
```

# 6
Simulated powder diffraction line list of Ga2Ni3Pt for Cu Kα, 1.54184 Å, from a cell relaxed with GGA-PBE.

Most intense lines, 10° ≤ 2θ ≤ 90°, by angle:
| d_spacing | Rel. int. |
| --- | --- |
| 5.648 | 140 |
| 2.142 | 1000 |
| 1.903 | 174 |
| 1.883 | 163 |
| 1.785 | 142 |
| 1.338 | 102 |
| 1.302 | 96 |
| 1.295 | 91 |
| 1.139 | 125 |
| 1.131 | 123 |

Structural model:
```
Ga2Ni3Pt
1.0
1.9032 -5.6479 0.0000
1.9032 5.6479 0.0000
0.0000 0.0000 3.5704
Ga Ni Pt
2 3 1
Direct
0.1604 0.8396 0.0000
0.8396 0.1604 0.0000
0.0000 0.0000 0.5000
0.3259 0.6741 0.5000
0.6741 0.3259 0.5000
0.5000 0.5000 0.0000
```

# 7
Simulated powder diffraction line list of DyY6Ho4 for Cu Kα, 1.54184 Å, from a cell relaxed with GGA-PBE.

Most intense lines, 10° ≤ 2θ ≤ 90°, by angle:
| d_spacing | Rel. int. |
| --- | --- |
| 3.893 | 119 |
| 2.936 | 613 |
| 2.922 | 417 |
| 2.840 | 562 |
| 2.801 | 1000 |
| 2.685 | 359 |
| 2.036 | 296 |
| 1.637 | 173 |
| 1.632 | 196 |
| 1.535 | 139 |

Structural model:
```
DyY6Ho4
1.0
2.8395 -4.8295 0.0000
2.8395 4.8295 0.0000
0.0000 0.0000 25.6840
Dy Y Ho
2 12 8
Direct
0.1794 0.8206 0.7500
0.8206 0.1794 0.2500
0.1504 0.8496 0.1813
0.1504 0.8496 0.3187
0.1836 0.8164 0.6036
0.1836 0.8164 0.8964
0.4866 0.5134 0.2500
0.5000 0.5000 0.0000
0.5000 0.5000 0.5000
0.5134 0.4866 0.7500
0.8164 0.1836 0.1036
0.8164 0.1836 0.3964
0.8496 0.1504 0.6813
0.8496 0.1504 0.8187
0.1603 0.8397 0.0421
0.1603 0.8397 0.4579
0.4791 0.5209 0.1211
0.4791 0.5209 0.3789
0.5209 0.4791 0.6211
0.5209 0.4791 0.8789
0.8397 0.1603 0.5421
0.8397 0.1603 0.9579
```

# 8
Simulated powder diffraction line list of Li2Zn3Au3 for Cu Kα, 1.54184 Å, from a cell relaxed with GGA-PBE.

Most intense lines, 10° ≤ 2θ ≤ 90°, by angle:
| d_spacing | Rel. int. |
| --- | --- |
| 4.055 | 1000 |
| 3.178 | 223 |
| 3.107 | 843 |
| 2.419 | 244 |
| 2.249 | 564 |
| 2.196 | 746 |
| 2.104 | 332 |
| 2.086 | 589 |
| 2.012 | 264 |
| 1.359 | 213 |

Structural model:
```
Li2Zn3Au3
1.0
2.3156 -4.2961 0.0000
2.3156 4.2961 0.0000
-1.5705 0.0000 13.4961
Li Zn Au
4 6 6
Direct
0.0296 0.1879 0.0881
0.1879 0.0296 0.5881
0.8121 0.9704 0.4119
0.9704 0.8121 0.9119
0.1029 0.8971 0.2500
0.1533 0.6333 0.4178
0.3667 0.8467 0.0822
0.6333 0.1533 0.9178
0.8467 0.3667 0.5822
0.8971 0.1029 0.7500
0.2911 0.4891 0.9133
0.4119 0.5881 0.2500
0.4891 0.2911 0.4133
0.5109 0.7089 0.5867
0.5881 0.4119 0.7500
0.7089 0.5109 0.0867
```

> Which formula does entry 3 have?

HoZrRe

> Which formula does entry 3 have?

HoZrRe